Record 1
Ce2Pd13: computed powder diffraction line list (Cu Kα (λ = 1.5418 Å)), based on a structure optimized by DFT (GGA-PBE).
Lines closer than 0.1° are merged.

Peak list (10 most intense, 15° ≤ 2θ ≤ 90°, sorted by position)
2theta  Rel. int.
30.47  39.0
37.51  51.4
38.13  65.0
38.75  100.0
38.92  29.8
39.73  17.4
51.04  29.1
53.67  54.7
76.32  27.0
77.11  15.7

Structural model:
```
Ce2Pd13
1.0
3.579 2.066 6.067
-3.579 2.066 6.067
0.000 -4.133 6.067
Ce Pd
2 13
Direct
0.166 0.166 0.166
0.834 0.834 0.834
0.000 0.000 0.000
0.162 0.162 0.545
0.162 0.545 0.162
0.294 0.693 0.693
0.307 0.307 0.706
0.307 0.706 0.307
0.455 0.838 0.838
0.545 0.162 0.162
0.693 0.294 0.693
0.693 0.693 0.294
0.706 0.307 0.307
0.838 0.455 0.838
0.838 0.838 0.455
```

Record 2
Ce3Pd5: computed powder diffraction line list (Cu Kα (λ = 1.5418 Å)), based on a structure optimized by DFT (GGA-PBE).
Lines closer than 0.1° are merged.

Peak list (10 most intense, 15° ≤ 2θ ≤ 90°, sorted by position)
2theta  Rel. int.
34.19  100.0
37.23  15.4
38.44  27.1
43.84  24.7
45.30  18.3
47.12  15.0
62.37  12.8
66.31  14.2
74.35  20.0
79.16  8.7

Structural model:
```
Ce3Pd5
1.0
7.154 0.000 0.000
-3.577 6.196 0.000
0.000 0.000 3.857
Ce Pd
3 5
Direct
0.000 0.644 0.000
0.356 0.356 0.000
0.644 0.000 0.000
0.000 0.230 0.500
0.230 0.000 0.500
0.333 0.667 0.500
0.667 0.333 0.500
0.770 0.770 0.500
```

Record 3
Ce2Pd5: computed powder diffraction line list (Cu Kα (λ = 1.5418 Å)), based on a structure optimized by DFT (GGA-PBE).
Lines closer than 0.1° are merged.

Peak list (10 most intense, 15° ≤ 2θ ≤ 90°, sorted by position)
2theta  Rel. int.
33.97  35.8
37.21  24.0
37.43  100.0
37.78  29.3
39.75  97.4
42.02  85.2
61.62  26.4
67.48  20.4
72.22  18.6
76.73  23.8

Structural model:
```
Ce2Pd5
1.0
3.635 -6.405 0.000
3.635 6.405 0.000
0.000 0.000 5.804
Ce Pd
4 10
Direct
0.092 0.301 0.000
0.301 0.092 0.500
0.699 0.908 0.500
0.908 0.699 0.000
0.102 0.352 0.500
0.269 0.731 0.250
0.269 0.731 0.750
0.352 0.102 0.000
0.500 0.500 0.250
0.500 0.500 0.750
0.648 0.898 0.000
0.731 0.269 0.250
0.731 0.269 0.750
0.898 0.648 0.500
```

Record 4
Ce4PdPt12: computed powder diffraction line list (Cu Kα (λ = 1.5418 Å)), based on a structure optimized by DFT (GGA-PBE).
Lines closer than 0.1° are merged.

Peak list (10 most intense, 15° ≤ 2θ ≤ 90°, sorted by position)
2theta  Rel. int.
36.12  100.0
39.13  10.2
41.95  56.7
44.63  10.6
49.64  12.0
60.83  31.3
72.83  27.6
74.74  7.1
76.64  8.6
82.24  9.5

Structural model:
```
Ce4PdPt12
1.0
-4.307 4.307 4.307
4.307 -4.307 4.307
4.307 4.307 -4.307
Ce Pd Pt
4 1 12
Direct
0.000 0.000 0.500
0.000 0.500 0.000
0.500 0.000 0.000
0.500 0.500 0.500
0.000 0.000 0.000
0.000 0.299 0.299
0.000 0.701 0.701
0.250 0.500 0.750
0.250 0.750 0.500
0.299 0.000 0.299
0.299 0.299 0.000
0.500 0.250 0.750
0.500 0.750 0.250
0.701 0.000 0.701
0.701 0.701 0.000
0.750 0.250 0.500
0.750 0.500 0.250
```

Record 5
CePd3Pt3: computed powder diffraction line list (Cu Kα (λ = 1.5418 Å)), based on a structure optimized by DFT (GGA-PBE).
Lines closer than 0.1° are merged.

Peak list (10 most intense, 15° ≤ 2θ ≤ 90°, sorted by position)
2theta  Rel. int.
15.71  11.3
37.63  56.6
39.18  100.0
40.41  41.1
45.25  31.2
45.59  63.4
64.25  23.5
68.08  15.6
77.97  12.5
79.13  13.1

Structural model:
```
CePd3Pt3
1.0
5.657 0.000 0.000
0.000 5.614 0.000
-0.585 0.000 8.016
Ce Pd Pt
2 6 6
Direct
0.209 0.000 0.221
0.791 0.000 0.779
0.226 0.500 0.234
0.262 0.000 0.748
0.264 0.500 0.749
0.736 0.500 0.251
0.738 0.000 0.252
0.774 0.500 0.766
0.000 0.253 0.500
0.000 0.747 0.500
0.500 0.250 0.500
0.500 0.255 0.000
0.500 0.745 0.000
0.500 0.750 0.500
```

Record 6
CePd3Pt2: computed powder diffraction line list (Cu Kα (λ = 1.5418 Å)), based on a structure optimized by DFT (GGA-PBE).
Lines closer than 0.1° are merged.

Peak list (10 most intense, 15° ≤ 2θ ≤ 90°, sorted by position)
2theta  Rel. int.
36.42  49.7
37.48  51.5
39.97  100.0
41.97  84.1
49.90  22.3
65.07  30.6
67.89  21.6
72.08  16.3
77.58  37.0
79.17  13.6

Structural model:
```
CePd3Pt2
1.0
2.867 1.655 7.199
-2.867 1.655 7.199
0.000 -3.310 7.199
Ce Pd Pt
2 6 4
Direct
0.223 0.223 0.223
0.777 0.777 0.777
0.227 0.721 0.721
0.279 0.279 0.773
0.279 0.773 0.279
0.721 0.227 0.721
0.721 0.721 0.227
0.773 0.279 0.279
0.000 0.000 0.000
0.000 0.500 0.500
0.500 0.000 0.500
0.500 0.500 0.000
```

> Number 2 is which compound?

Ce3Pd5

Please write out number 2 again, unchanged.
Ce3Pd5: computed powder diffraction line list (Cu Kα (λ = 1.5418 Å)), based on a structure optimized by DFT (GGA-PBE).
Lines closer than 0.1° are merged.

Peak list (10 most intense, 15° ≤ 2θ ≤ 90°, sorted by position)
2theta  Rel. int.
34.19  100.0
37.23  15.4
38.44  27.1
43.84  24.7
45.30  18.3
47.12  15.0
62.37  12.8
66.31  14.2
74.35  20.0
79.16  8.7

Structural model:
```
Ce3Pd5
1.0
7.154 0.000 0.000
-3.577 6.196 0.000
0.000 0.000 3.857
Ce Pd
3 5
Direct
0.000 0.644 0.000
0.356 0.356 0.000
0.644 0.000 0.000
0.000 0.230 0.500
0.230 0.000 0.500
0.333 0.667 0.500
0.667 0.333 0.500
0.770 0.770 0.500
```